1.
Calculated X-ray powder pattern of CsAlTe3 for a wavelength of 1.5418 Å, from a DFT-relaxed cell (PBE, the Materials Project).
Intensities are scaled so that the largest is 100.

Atomic structure:
a b c (Å): 8.2975 14.1358 7.3082
angles (deg): 90.00 104.36 90.00
Fractional coordinates of all 20 atoms:
Cs1 0.2445 0.0800 0.2100
Cs2 0.2445 0.4200 0.7100
Cs3 0.7555 0.5800 0.2900
Cs4 0.7555 0.9200 0.7900
Al1 0.3208 0.7269 0.3489
Al2 0.3208 0.7731 0.8489
Al3 0.6792 0.2269 0.1511
Al4 0.6792 0.2731 0.6511
Te1 0.0444 0.6794 0.8521
Te2 0.0444 0.8206 0.3521
Te3 0.2188 0.5708 0.1553
Te4 0.2188 0.9292 0.6553
Te5 0.4958 0.1690 0.8236
Te6 0.4958 0.3310 0.3236
Te7 0.5042 0.6690 0.6764
Te8 0.5042 0.8310 0.1764
Te9 0.7812 0.0708 0.3447
Te10 0.7812 0.4292 0.8447
Te11 0.9556 0.1794 0.6479
Te12 0.9556 0.3206 0.1479

Peak list (10 most intense, 10° ≤ 2θ ≤ 80°, in order of falling intensity)
3.441 Å, rel. 100
3.162 Å, rel. 80
3.494 Å, rel. 43
2.033 Å, rel. 38
2.895 Å, rel. 33
3.539 Å, rel. 33
3.474 Å, rel. 23
1.788 Å, rel. 18
3.948 Å, rel. 15
1.970 Å, rel. 15

=====

2.
Calculated X-ray powder pattern of GeBiPd6 for a wavelength of 1.5418 Å, from a DFT-relaxed cell (PBE, the Materials Project).
Intensities are scaled so that the largest is 100.

Atomic structure:
a b c (Å): 7.8597 7.8597 7.8597
angles (deg): 33.74 33.74 33.74
Fractional coordinates of all 8 atoms:
Ge1 0.0000 0.0000 0.0000
Bi1 0.5000 0.5000 0.5000
Pd1 0.1121 0.1121 0.1121
Pd2 0.2451 0.2451 0.2451
Pd3 0.3666 0.3666 0.3666
Pd4 0.6334 0.6334 0.6334
Pd5 0.7549 0.7549 0.7549
Pd6 0.8879 0.8879 0.8879

Peak list (10 most intense, 10° ≤ 2θ ≤ 80°, in order of falling intensity)
2.281 Å, rel. 100
2.272 Å, rel. 85
1.315 Å, rel. 29
1.610 Å, rel. 29
1.317 Å, rel. 17
2.474 Å, rel. 16
1.242 Å, rel. 9
1.310 Å, rel. 9
2.952 Å, rel. 9
1.677 Å, rel. 5